The following is a computed powder X-ray diffraction pattern of Ba2VSi2O8. It was derived from a cell relaxed with GGA+U, using λ = 1.5418 Å (Cu Kα).

Principal peaks in the range 2θ = 10–80°, sorted by position:
h k l, Position (°2θ), d [Å], I_rel
2 1 0, 23.11, 3.848, 155
2 0 1, 26.63, 3.348, 396
2 1 1, 28.61, 3.120, 1000
3 1 0, 32.92, 2.721, 240
2 1 2, 41.21, 2.191, 219
4 1 0, 43.36, 2.087, 168
4 1 1, 46.74, 1.943, 174
3 3 1, 47.99, 1.896, 141
4 1 2, 55.98, 1.643, 146
3 3 2, 57.09, 1.613, 199

Structural model:
Unit cell a=8.6050 b=8.6050 c=5.3290 alpha=90.00 beta=90.00 gamma=90.00
Positions (direct):
Ba: 0.1717 0.3283 0.0000
Ba: 0.3283 0.8283 0.0000
Ba: 0.6717 0.1717 0.0000
Ba: 0.8283 0.6717 0.0000
V: 0.0000 0.0000 0.5426
V: 0.5000 0.5000 0.5426
Si: 0.1294 0.6294 0.5236
Si: 0.3706 0.1294 0.5236
Si: 0.6294 0.8706 0.5236
Si: 0.8706 0.3706 0.5236
O: 0.0000 0.0000 0.2293
O: 0.0000 0.5000 0.6356
O: 0.0773 0.7935 0.6568
O: 0.1291 0.6291 0.2216
O: 0.2065 0.0773 0.6568
O: 0.2935 0.5773 0.6568
O: 0.3709 0.1291 0.2216
O: 0.4227 0.2935 0.6568
O: 0.5000 0.0000 0.6356
O: 0.5000 0.5000 0.2293
O: 0.5773 0.7065 0.6568
O: 0.6291 0.8709 0.2216
O: 0.7065 0.4227 0.6568
O: 0.7935 0.9227 0.6568
O: 0.8709 0.3709 0.2216
O: 0.9227 0.2065 0.6568